Diffraction record for Lu2Ni12P7. The PXRD pattern is simulated, not measured: it uses DFT lattice parameters and positions (GGA-PBE) and Cu Kα (λ = 1.5418 Å).
No peak broadening, texture or thermal motion is included.

Crystal structure
```
data_Lu2Ni12P7
_cell_length_a 9.0010
_cell_length_b 9.0010
_cell_length_c 3.6553
_cell_angle_alpha 90.00
_cell_angle_beta 90.00
_cell_angle_gamma 120.00
_symmetry_space_group_name_H-M 'P 1'
_symmetry_Int_Tables_number 1
loop_
_symmetry_equiv_pos_as_xyz
'x,y,z'
loop_
_atom_site_label
_atom_site_type_symbol
_atom_site_fract_x
_atom_site_fract_y
_atom_site_fract_z
_atom_site_occupancy
Lu1 Lu 0.0000 0.0000 0.0000 1
Lu2 Lu 0.3333 0.6667 0.5000 1
Ni1 Ni 0.0492 0.7633 0.5000 1
Ni2 Ni 0.1026 0.3952 0.0000 1
Ni3 Ni 0.2367 0.2860 0.5000 1
Ni4 Ni 0.2926 0.8974 0.0000 1
Ni5 Ni 0.3897 0.2103 0.0000 1
Ni6 Ni 0.5455 0.1218 0.5000 1
Ni7 Ni 0.5763 0.4545 0.5000 1
Ni8 Ni 0.6048 0.7074 0.0000 1
Ni9 Ni 0.7140 0.9508 0.5000 1
Ni10 Ni 0.7897 0.1794 0.0000 1
Ni11 Ni 0.8206 0.6103 0.0000 1
Ni12 Ni 0.8782 0.4237 0.5000 1
P1 P 0.0749 0.6256 0.0000 1
P2 P 0.2580 0.0382 0.5000 1
P3 P 0.3744 0.4494 0.0000 1
P4 P 0.5506 0.9251 0.0000 1
P5 P 0.6667 0.3333 0.0000 1
P6 P 0.7802 0.7420 0.5000 1
P7 P 0.9618 0.2198 0.5000 1
```

Peak list (12 most intense, 2θ from 15° to 90°, low angle first)
26.94°, I 128, (1 0 1); 30.34°, I 103, (1 2 0); 34.52°, I 98, (3 0 0); 39.28°, I 1000, (1 2 1); 41.78°, I 94, (3 1 0); 46.61°, I 92, (4 0 0); 48.95°, I 93, (1 3 1); 49.90°, I 170, (0 0 2); 53.90°, I 162, (4 1 0); 57.36°, I 111, (2 3 1); 76.51°, I 113, (4 1 2); 86.43°, I 115, (1 2 3)